# 1
La5Cu19P12: calculated powder XRD pattern (a wavelength of 1.5418 Å), based on DFT lattice parameters and positions (GGA-PBE).
No peak broadening, texture or thermal motion is included.

Crystal structure
```
data_La5Cu19P12
_chemical_formula_sum 'La5 Cu19 P12'
_symmetry_space_group_name_H-M 'P 1'
_symmetry_Int_Tables_number 1
_cell_length_a 12.7284
_cell_length_b 12.7284
_cell_length_c 3.9790
_cell_angle_alpha 90.00
_cell_angle_beta 90.00
_cell_angle_gamma 120.00
loop_
_symmetry_equiv_pos_as_xyz
'x,y,z'
loop_
_atom_site_label
_atom_site_type_symbol
_atom_site_fract_x
_atom_site_fract_y
_atom_site_fract_z
La1 La 0.0000 0.8075 0.0000
La2 La 0.1925 0.1925 0.0000
La3 La 0.3333 0.6667 0.5000
La4 La 0.6667 0.3333 0.5000
La5 La 0.8075 0.0000 0.0000
Cu1 Cu 0.0000 0.0000 0.5000
Cu2 Cu 0.0000 0.2886 0.0000
Cu3 Cu 0.0000 0.4504 0.5000
Cu4 Cu 0.1177 0.6344 0.0000
Cu5 Cu 0.1718 0.3789 0.5000
Cu6 Cu 0.2071 0.8282 0.5000
Cu7 Cu 0.2886 0.0000 0.0000
Cu8 Cu 0.3656 0.4833 0.0000
Cu9 Cu 0.3789 0.1718 0.5000
Cu10 Cu 0.4504 0.0000 0.5000
Cu11 Cu 0.4833 0.3656 0.0000
Cu12 Cu 0.5167 0.8823 0.0000
Cu13 Cu 0.5496 0.5496 0.5000
Cu14 Cu 0.6211 0.7929 0.5000
Cu15 Cu 0.6344 0.1177 0.0000
Cu16 Cu 0.7114 0.7114 0.0000
Cu17 Cu 0.7929 0.6211 0.5000
Cu18 Cu 0.8282 0.2071 0.5000
Cu19 Cu 0.8823 0.5167 0.0000
P1 P 0.0000 0.1768 0.5000
P2 P 0.0000 0.6309 0.5000
P3 P 0.1726 0.4796 0.0000
P4 P 0.1768 0.0000 0.5000
P5 P 0.3070 0.8274 0.0000
P6 P 0.3691 0.3691 0.5000
P7 P 0.4796 0.1726 0.0000
P8 P 0.5204 0.6930 0.0000
P9 P 0.6309 0.0000 0.5000
P10 P 0.6930 0.5204 0.0000
P11 P 0.8232 0.8232 0.5000
P12 P 0.8274 0.3070 0.0000
```

Most intense lines, 2θ from 15° to 90°, in order of rising 2θ:
2θ 26.4, intensity 10.9; 2θ 28.0, intensity 10.2; 2θ 36.1, intensity 100.0; 2θ 37.1, intensity 24.3; 2θ 37.4, intensity 18.7; 2θ 44.0, intensity 10.0; 2θ 45.6, intensity 24.4; 2θ 49.6, intensity 15.3; 2θ 55.7, intensity 9.0; 2θ 68.4, intensity 11.7; 2θ 69.7, intensity 10.7; 2θ 78.1, intensity 10.0


# 2
ErCuSi: calculated powder XRD pattern (a wavelength of 1.5418 Å), based on DFT lattice parameters and positions (GGA-PBE).
No peak broadening, texture or thermal motion is included.

Crystal structure
```
data_ErCuSi
_chemical_formula_sum 'Er1 Cu1 Si1'
_symmetry_space_group_name_H-M 'P 1'
_symmetry_Int_Tables_number 1
_cell_length_a 4.1134
_cell_length_b 4.1134
_cell_length_c 3.6828
_cell_angle_alpha 90.00
_cell_angle_beta 90.00
_cell_angle_gamma 120.00
loop_
_symmetry_equiv_pos_as_xyz
'x,y,z'
loop_
_atom_site_label
_atom_site_type_symbol
_atom_site_fract_x
_atom_site_fract_y
_atom_site_fract_z
Er1 Er 0.0000 0.0000 0.0000
Cu1 Cu 0.3333 0.6667 0.5000
Si1 Si 0.6667 0.3333 0.5000
```

Most intense lines, 2θ from 15° to 90°, in order of rising 2θ:
2θ 25.0, intensity 36.6; 2θ 35.0, intensity 100.0; 2θ 44.0, intensity 38.6; 2θ 49.5, intensity 9.1; 2θ 51.3, intensity 5.4; 2θ 56.2, intensity 8.3; 2θ 57.5, intensity 23.8; 2θ 68.4, intensity 20.3; 2θ 69.9, intensity 4.4; 2θ 75.1, intensity 21.3; 2θ 81.0, intensity 6.3; 2θ 83.2, intensity 8.2


# 3
Tm2CuTe2S2O14: calculated powder XRD pattern (a wavelength of 1.5418 Å), based on DFT lattice parameters and positions (GGA-PBE).
No peak broadening, texture or thermal motion is included.

Crystal structure
```
data_Tm2CuTe2S2O14
_chemical_formula_sum 'Tm2 Cu1 Te2 S2 O14'
_symmetry_space_group_name_H-M 'P 1'
_symmetry_Int_Tables_number 1
_cell_length_a 5.1774
_cell_length_b 7.9065
_cell_length_c 8.1568
_cell_angle_alpha 62.26
_cell_angle_beta 74.07
_cell_angle_gamma 85.10
loop_
_symmetry_equiv_pos_as_xyz
'x,y,z'
loop_
_atom_site_label
_atom_site_type_symbol
_atom_site_fract_x
_atom_site_fract_y
_atom_site_fract_z
Tm1 Tm 0.0727 0.2523 0.0188
Tm2 Tm 0.9273 0.7477 0.9812
Cu1 Cu 0.0000 0.0000 0.5000
Te1 Te 0.4903 0.7262 0.6562
Te2 Te 0.5097 0.2738 0.3438
S1 S 0.2535 0.7489 0.2484
S2 S 0.7465 0.2511 0.7516
O1 O 0.1380 0.5891 0.2370
O2 O 0.1422 0.7456 0.4359
O3 O 0.1754 0.9254 0.0909
O4 O 0.2463 0.5590 0.8926
O5 O 0.2490 0.9271 0.6608
O6 O 0.2705 0.1892 0.2515
O7 O 0.4493 0.2631 0.7887
O8 O 0.5507 0.7369 0.2113
O9 O 0.7295 0.8108 0.7485
O10 O 0.7510 0.0729 0.3392
O11 O 0.7537 0.4410 0.1074
O12 O 0.8246 0.0746 0.9091
O13 O 0.8578 0.2544 0.5641
O14 O 0.8620 0.4109 0.7630
```

Most intense lines, 2θ from 15° to 90°, in order of rising 2θ:
2θ 19.0, intensity 35.8; 2θ 22.7, intensity 41.9; 2θ 24.6, intensity 65.2; 2θ 24.8, intensity 76.0; 2θ 25.5, intensity 100.0; 2θ 27.1, intensity 47.3; 2θ 27.5, intensity 41.8; 2θ 30.3, intensity 74.5; 2θ 35.2, intensity 37.0; 2θ 35.2, intensity 41.6; 2θ 37.2, intensity 34.9; 2θ 38.8, intensity 42.4


# 4
MgUO4: calculated powder XRD pattern (a wavelength of 1.5418 Å), based on DFT lattice parameters and positions (GGA-PBE).
No peak broadening, texture or thermal motion is included.

Crystal structure
```
data_MgUO4
_chemical_formula_sum 'Mg1 U1 O4'
_symmetry_space_group_name_H-M 'P 1'
_symmetry_Int_Tables_number 1
_cell_length_a 4.7112
_cell_length_b 4.7112
_cell_length_c 3.4831
_cell_angle_alpha 90.00
_cell_angle_beta 90.00
_cell_angle_gamma 90.71
loop_
_symmetry_equiv_pos_as_xyz
'x,y,z'
loop_
_atom_site_label
_atom_site_type_symbol
_atom_site_fract_x
_atom_site_fract_y
_atom_site_fract_z
Mg1 Mg 0.0000 0.0000 0.0000
U1 U 0.5000 0.5000 0.5000
O1 O 0.2022 0.2022 0.5000
O2 O 0.3087 0.6913 0.0000
O3 O 0.6913 0.3087 0.0000
O4 O 0.7978 0.7978 0.5000
```

Most intense lines, 2θ from 15° to 90°, in order of rising 2θ:
2θ 18.8, intensity 100.0; 2θ 25.6, intensity 24.0; 2θ 26.6, intensity 37.6; 2θ 26.9, intensity 35.6; 2θ 32.0, intensity 73.1; 2θ 37.2, intensity 30.7; 2θ 38.2, intensity 17.5; 2θ 43.2, intensity 17.3; 2θ 46.5, intensity 19.8; 2θ 50.4, intensity 28.6; 2θ 50.8, intensity 26.9; 2θ 65.2, intensity 16.1


# 5
BaLiGe2: calculated powder XRD pattern (a wavelength of 1.5418 Å), based on DFT lattice parameters and positions (GGA-PBE).
No peak broadening, texture or thermal motion is included.

Crystal structure
```
data_BaLiGe2
_chemical_formula_sum 'Ba4 Li4 Ge8'
_symmetry_space_group_name_H-M 'P 1'
_symmetry_Int_Tables_number 1
_cell_length_a 7.4932
_cell_length_b 4.6677
_cell_length_c 11.9580
_cell_angle_alpha 90.00
_cell_angle_beta 90.00
_cell_angle_gamma 90.00
loop_
_symmetry_equiv_pos_as_xyz
'x,y,z'
loop_
_atom_site_label
_atom_site_type_symbol
_atom_site_fract_x
_atom_site_fract_y
_atom_site_fract_z
Ba1 Ba 0.1349 0.2500 0.1407
Ba2 Ba 0.3651 0.7500 0.6407
Ba3 Ba 0.6349 0.2500 0.3593
Ba4 Ba 0.8651 0.7500 0.8593
Li1 Li 0.1165 0.2500 0.4368
Li2 Li 0.3835 0.7500 0.9368
Li3 Li 0.6165 0.2500 0.0632
Li4 Li 0.8835 0.7500 0.5632
Ge1 Ge 0.0346 0.2500 0.6598
Ge2 Ge 0.2005 0.2500 0.8481
Ge3 Ge 0.2995 0.7500 0.3481
Ge4 Ge 0.4654 0.7500 0.1598
Ge5 Ge 0.5346 0.2500 0.8402
Ge6 Ge 0.7005 0.2500 0.6519
Ge7 Ge 0.7995 0.7500 0.1519
Ge8 Ge 0.9654 0.7500 0.3402
```

Most intense lines, 2θ from 15° to 90°, in order of rising 2θ:
2θ 23.7, intensity 72.5; 2θ 27.0, intensity 100.0; 2θ 29.9, intensity 61.9; 2θ 30.6, intensity 99.4; 2θ 31.8, intensity 79.7; 2θ 36.8, intensity 24.1; 2θ 38.6, intensity 49.3; 2θ 39.1, intensity 26.9; 2θ 42.7, intensity 40.7; 2θ 43.3, intensity 55.0; 2θ 49.6, intensity 29.8; 2θ 58.9, intensity 47.5


# 6
Mg5Ga: calculated powder XRD pattern (a wavelength of 1.5418 Å), based on DFT lattice parameters and positions (GGA-PBE).
No peak broadening, texture or thermal motion is included.

Crystal structure
```
data_Mg5Ga
_chemical_formula_sum 'Mg5 Ga1'
_symmetry_space_group_name_H-M 'P 1'
_symmetry_Int_Tables_number 1
_cell_length_a 6.0593
_cell_length_b 6.0593
_cell_length_c 6.0593
_cell_angle_alpha 52.49
_cell_angle_beta 52.49
_cell_angle_gamma 52.49
loop_
_symmetry_equiv_pos_as_xyz
'x,y,z'
loop_
_atom_site_label
_atom_site_type_symbol
_atom_site_fract_x
_atom_site_fract_y
_atom_site_fract_z
Mg1 Mg 0.0000 0.6643 0.3357
Mg2 Mg 0.1669 0.1669 0.1669
Mg3 Mg 0.3357 0.0000 0.6643
Mg4 Mg 0.6643 0.3357 0.0000
Mg5 Mg 0.8331 0.8331 0.8331
Ga1 Ga 0.5000 0.5000 0.5000
```

Most intense lines, 2θ from 15° to 90°, in order of rising 2θ:
2θ 17.0, intensity 8.6; 2θ 20.0, intensity 18.6; 2θ 22.3, intensity 13.5; 2θ 29.9, intensity 6.7; 2θ 33.4, intensity 26.8; 2θ 34.4, intensity 28.3; 2θ 37.8, intensity 100.0; 2θ 48.8, intensity 18.0; 2θ 59.8, intensity 16.2; 2θ 63.9, intensity 20.1; 2θ 70.8, intensity 18.9; 2θ 72.9, intensity 13.8


# 7
Li2Pr2Ge3: calculated powder XRD pattern (a wavelength of 1.5418 Å), based on DFT lattice parameters and positions (GGA-PBE).
No peak broadening, texture or thermal motion is included.

Crystal structure
```
data_Li2Pr2Ge3
_chemical_formula_sum 'Li4 Pr4 Ge6'
_symmetry_space_group_name_H-M 'P 1'
_symmetry_Int_Tables_number 1
_cell_length_a 9.7074
_cell_length_b 9.7074
_cell_length_c 7.0034
_cell_angle_alpha 90.00
_cell_angle_beta 90.00
_cell_angle_gamma 153.31
loop_
_symmetry_equiv_pos_as_xyz
'x,y,z'
loop_
_atom_site_label
_atom_site_type_symbol
_atom_site_fract_x
_atom_site_fract_y
_atom_site_fract_z
Li1 Li 0.1904 0.8096 0.5619
Li2 Li 0.1904 0.8096 0.9381
Li3 Li 0.8096 0.1904 0.0619
Li4 Li 0.8096 0.1904 0.4381
Pr1 Pr 0.3419 0.6581 0.7500
Pr2 Pr 0.4481 0.5519 0.2500
Pr3 Pr 0.5519 0.4481 0.7500
Pr4 Pr 0.6581 0.3419 0.2500
Ge1 Ge 0.0614 0.9386 0.0686
Ge2 Ge 0.0614 0.9386 0.4314
Ge3 Ge 0.2801 0.7199 0.2500
Ge4 Ge 0.7199 0.2801 0.7500
Ge5 Ge 0.9386 0.0614 0.5686
Ge6 Ge 0.9386 0.0614 0.9314
```

Most intense lines, 2θ from 15° to 90°, in order of rising 2θ:
2θ 22.7, intensity 13.8; 2θ 24.4, intensity 18.1; 2θ 25.4, intensity 22.4; 2θ 31.1, intensity 16.9; 2θ 32.8, intensity 74.0; 2θ 33.6, intensity 100.0; 2θ 40.3, intensity 32.5; 2θ 43.2, intensity 20.0; 2θ 48.2, intensity 15.3; 2θ 48.5, intensity 14.2; 2θ 56.6, intensity 15.7; 2θ 60.5, intensity 14.9


# 8
VCo4: calculated powder XRD pattern (a wavelength of 1.5418 Å), based on DFT lattice parameters and positions (GGA-PBE).
No peak broadening, texture or thermal motion is included.

Crystal structure
```
data_VCo4
_chemical_formula_sum 'V1 Co4'
_symmetry_space_group_name_H-M 'P 1'
_symmetry_Int_Tables_number 1
_cell_length_a 10.3817
_cell_length_b 10.3817
_cell_length_c 10.3817
_cell_angle_alpha 13.93
_cell_angle_beta 13.93
_cell_angle_gamma 13.93
loop_
_symmetry_equiv_pos_as_xyz
'x,y,z'
loop_
_atom_site_label
_atom_site_type_symbol
_atom_site_fract_x
_atom_site_fract_y
_atom_site_fract_z
V1 V 0.0000 0.0000 0.0000
Co1 Co 0.1993 0.1993 0.1993
Co2 Co 0.4019 0.4019 0.4019
Co3 Co 0.5981 0.5981 0.5981
Co4 Co 0.8007 0.8007 0.8007
```

Most intense lines, 2θ from 15° to 90°, in order of rising 2θ:
2θ 17.3, intensity 0.5; 2θ 44.0, intensity 100.0; 2θ 51.3, intensity 46.1; 2θ 75.5, intensity 26.1


# 9
LiCr2S4: calculated powder XRD pattern (a wavelength of 1.5418 Å), based on DFT lattice parameters and positions (GGA-PBE).
No peak broadening, texture or thermal motion is included.

Crystal structure
```
data_LiCr2S4
_chemical_formula_sum 'Li2 Cr4 S8'
_symmetry_space_group_name_H-M 'P 1'
_symmetry_Int_Tables_number 1
_cell_length_a 7.0775
_cell_length_b 7.0775
_cell_length_c 7.0775
_cell_angle_alpha 120.00
_cell_angle_beta 119.82
_cell_angle_gamma 90.15
loop_
_symmetry_equiv_pos_as_xyz
'x,y,z'
loop_
_atom_site_label
_atom_site_type_symbol
_atom_site_fract_x
_atom_site_fract_y
_atom_site_fract_z
Li1 Li 0.5000 0.0000 0.0000
Li2 Li 0.5000 0.5000 0.5000
Cr1 Cr 0.0000 0.0000 0.0000
Cr2 Cr 0.1233 0.3733 0.7500
Cr3 Cr 0.5000 0.0000 0.5000
Cr4 Cr 0.8767 0.6267 0.2500
S1 S 0.2350 0.2406 0.9944
S2 S 0.2487 0.2319 0.4832
S3 S 0.2487 0.7655 0.0168
S4 S 0.2539 0.7594 0.4944
S5 S 0.7461 0.2406 0.5056
S6 S 0.7513 0.2345 0.9832
S7 S 0.7513 0.7681 0.5168
S8 S 0.7650 0.7594 0.0056
```

Most intense lines, 2θ from 15° to 90°, in order of rising 2θ:
2θ 15.3, intensity 36.0; 2θ 17.7, intensity 14.1; 2θ 25.2, intensity 58.5; 2θ 29.6, intensity 100.0; 2θ 30.9, intensity 32.1; 2θ 35.9, intensity 53.7; 2θ 44.3, intensity 22.6; 2θ 47.1, intensity 27.0; 2θ 47.2, intensity 15.8; 2θ 51.5, intensity 18.5; 2θ 51.7, intensity 89.3; 2θ 72.5, intensity 10.7


# 10
ZrCuHg2: calculated powder XRD pattern (a wavelength of 1.5418 Å), based on DFT lattice parameters and positions (GGA-PBE).
No peak broadening, texture or thermal motion is included.

Crystal structure
```
data_ZrCuHg2
_chemical_formula_sum 'Zr1 Cu1 Hg2'
_symmetry_space_group_name_H-M 'P 1'
_symmetry_Int_Tables_number 1
_cell_length_a 4.7776
_cell_length_b 4.7776
_cell_length_c 4.7776
_cell_angle_alpha 60.00
_cell_angle_beta 60.00
_cell_angle_gamma 60.00
loop_
_symmetry_equiv_pos_as_xyz
'x,y,z'
loop_
_atom_site_label
_atom_site_type_symbol
_atom_site_fract_x
_atom_site_fract_y
_atom_site_fract_z
Zr1 Zr 0.0000 0.0000 0.0000
Cu1 Cu 0.2500 0.2500 0.2500
Hg1 Hg 0.5000 0.5000 0.5000
Hg2 Hg 0.7500 0.7500 0.7500
```

Most intense lines, 2θ from 15° to 90°, in order of rising 2θ:
2θ 22.8, intensity 20.6; 2θ 37.7, intensity 100.0; 2θ 44.5, intensity 11.7; 2θ 54.3, intensity 17.3; 2θ 59.6, intensity 5.2; 2θ 68.0, intensity 35.3; 2θ 72.7, intensity 4.0; 2θ 80.4, intensity 11.2; 2θ 84.9, intensity 4.3


# 11
Li4Be3P3BrO12: calculated powder XRD pattern (a wavelength of 1.5418 Å), based on DFT lattice parameters and positions (GGA-PBE).
No peak broadening, texture or thermal motion is included.

Crystal structure
```
data_Li4Be3P3BrO12
_chemical_formula_sum 'Li8 Be6 P6 Br2 O24'
_symmetry_space_group_name_H-M 'P 1'
_symmetry_Int_Tables_number 1
_cell_length_a 8.1723
_cell_length_b 8.1723
_cell_length_c 8.1723
_cell_angle_alpha 90.00
_cell_angle_beta 90.00
_cell_angle_gamma 90.00
loop_
_symmetry_equiv_pos_as_xyz
'x,y,z'
loop_
_atom_site_label
_atom_site_type_symbol
_atom_site_fract_x
_atom_site_fract_y
_atom_site_fract_z
Li1 Li 0.1834 0.1834 0.1834
Li2 Li 0.1834 0.8166 0.8166
Li3 Li 0.3166 0.3166 0.6834
Li4 Li 0.3166 0.6834 0.3166
Li5 Li 0.6834 0.3166 0.3166
Li6 Li 0.6834 0.6834 0.6834
Li7 Li 0.8166 0.1834 0.8166
Li8 Li 0.8166 0.8166 0.1834
Be1 Be 0.0000 0.2500 0.5000
Be2 Be 0.0000 0.7500 0.5000
Be3 Be 0.2500 0.5000 0.0000
Be4 Be 0.5000 0.0000 0.2500
Be5 Be 0.5000 0.0000 0.7500
Be6 Be 0.7500 0.5000 0.0000
P1 P 0.0000 0.5000 0.2500
P2 P 0.0000 0.5000 0.7500
P3 P 0.2500 0.0000 0.5000
P4 P 0.5000 0.2500 0.0000
P5 P 0.5000 0.7500 0.0000
P6 P 0.7500 0.0000 0.5000
Br1 Br 0.0000 0.0000 0.0000
Br2 Br 0.5000 0.5000 0.5000
O1 O 0.0789 0.3630 0.6451
O2 O 0.0789 0.6370 0.3549
O3 O 0.1370 0.4211 0.1451
O4 O 0.1370 0.5789 0.8549
O5 O 0.1451 0.1370 0.4211
O6 O 0.1451 0.8630 0.5789
O7 O 0.3549 0.0789 0.6370
O8 O 0.3549 0.9211 0.3630
O9 O 0.3630 0.3549 0.9211
O10 O 0.3630 0.6451 0.0789
O11 O 0.4211 0.1451 0.1370
O12 O 0.4211 0.8549 0.8630
O13 O 0.5789 0.1451 0.8630
O14 O 0.5789 0.8549 0.1370
O15 O 0.6370 0.3549 0.0789
O16 O 0.6370 0.6451 0.9211
O17 O 0.6451 0.0789 0.3630
O18 O 0.6451 0.9211 0.6370
O19 O 0.8549 0.1370 0.5789
O20 O 0.8549 0.8630 0.4211
O21 O 0.8630 0.4211 0.8549
O22 O 0.8630 0.5789 0.1451
O23 O 0.9211 0.3630 0.3549
O24 O 0.9211 0.6370 0.6451
```

Most intense lines, 2θ from 15° to 90°, in order of rising 2θ:
2θ 21.7, intensity 25.3; 2θ 24.4, intensity 17.6; 2θ 26.7, intensity 100.0; 2θ 38.1, intensity 12.5; 2θ 41.3, intensity 27.2; 2θ 47.2, intensity 19.0; 2θ 49.9, intensity 8.2; 2θ 52.5, intensity 11.5; 2θ 64.5, intensity 12.3; 2θ 71.1, intensity 11.8; 2θ 79.6, intensity 9.9; 2θ 87.8, intensity 10.4